[1]
Structure and calculated powder XRD pattern of GeS2F12 (a DFT-relaxed cell (PBE, the Materials Project); Cu Kα (weighted mean of Kα1 and Kα2)).
Intensities are scaled so that the largest is 100.

Structure:
Lattice parameters (Å, degrees): 7.6512 9.6665 6.1288 90.00 90.00 90.00
Space group Pnnm (No. 58)
One atom of each set of equivalent atoms:
Ge: 0.0000 0.0000 0.0000 (multiplicity 2)
S: 0.0684 0.2428 0.5000 (multiplicity 4)
F: 0.0275 0.3474 0.3113 (multiplicity 8)
F: 0.1165 0.8260 0.5000 (multiplicity 4)
F: 0.1309 0.0864 0.2121 (multiplicity 8)
F: 0.1522 0.8535 0.0000 (multiplicity 4)

Top 8 peaks for 5° ≤ 2θ ≤ 70°, by angle:
2θ (°)  Rel. int.
14.77  84.5
17.13  65.4
23.25  41.5
26.21  100.0
29.02  17.2
32.82  19.0
45.35  15.1
47.33  20.4

[2]
Structure and calculated powder XRD pattern of GdMg3Ni8 (a DFT-relaxed cell (PBE, the Materials Project); Cu Kα (weighted mean of Kα1 and Kα2)).
Intensities are scaled so that the largest is 100.

Structure:
Lattice parameters (Å, degrees): 4.8869 4.8869 23.8619 90.00 90.00 120.00
Space group R3m (No. 160, hexagonal axes)
One atom of each set of equivalent atoms:
Gd: 0.0000 0.0000 0.0000 (multiplicity 3)
Mg: 0.0000 0.0000 0.3798 (multiplicity 3)
Mg: 0.0000 0.0000 0.5008 (multiplicity 3)
Mg: 0.0000 0.0000 0.8719 (multiplicity 3)
Ni: 0.0000 0.0000 0.1878 (multiplicity 3)
Ni: 0.0000 0.0000 0.6884 (multiplicity 3)
Ni: 0.0034 0.5017 0.4393 (multiplicity 9)
Ni: 0.1672 0.3343 0.2695 (multiplicity 9)

Top 8 peaks for 5° ≤ 2θ ≤ 70°, by angle:
2θ (°)  Rel. int.
11.12  20.9
21.32  18.5
22.31  24.5
36.82  30.6
43.46  100.0
43.54  33.6
45.48  44.7
45.62  14.3

[3]
Structure and calculated powder XRD pattern of In5CuTe8 (a DFT-relaxed cell (PBE, the Materials Project); Cu Kα (weighted mean of Kα1 and Kα2)).
Intensities are scaled so that the largest is 100.

Structure:
Lattice parameters (Å, degrees): 8.9487 12.6128 9.0171 90.00 90.08 90.00
Space group C2 (No. 5)
One atom of each set of equivalent atoms:
In: 0.0000 0.0000 0.0000 (multiplicity 2)
In: 0.0000 0.0097 0.5000 (multiplicity 2)
In: 0.0000 0.4902 0.0000 (multiplicity 2)
In: 0.2397 0.2501 0.7431 (multiplicity 4)
Cu: 0.0000 0.4996 0.5000 (multiplicity 2)
Te: 0.0211 0.3747 0.2682 (multiplicity 4)
Te: 0.0216 0.8630 0.7477 (multiplicity 4)
Te: 0.2313 0.6263 0.5161 (multiplicity 4)
Te: 0.2478 0.6374 0.9779 (multiplicity 4)

Top 8 peaks for 5° ≤ 2θ ≤ 70°, by angle:
2θ (°)  Rel. int.
24.27  85.3
24.39  84.4
40.00  20.4
40.31  100.0
47.40  24.3
47.61  23.4
47.77  24.8
64.20  14.1

[4]
Structure and calculated powder XRD pattern of AlSn3F15 (a DFT-relaxed cell (PBE, the Materials Project); Cu Kα (weighted mean of Kα1 and Kα2)).
Intensities are scaled so that the largest is 100.

Structure:
Lattice parameters (Å, degrees): 5.8487 10.1301 10.0713 90.00 105.88 90.00
Space group P2_1/m (No. 11)
One atom of each set of equivalent atoms:
Al: 0.0421 0.2500 0.2646 (multiplicity 2)
Sn: 0.4791 0.5512 0.3323 (multiplicity 4)
Sn: 0.5000 0.0000 0.0000 (multiplicity 2)
F: 0.0825 0.7500 0.6070 (multiplicity 2)
F: 0.1146 0.7500 0.9008 (multiplicity 2)
F: 0.2025 0.1169 0.6294 (multiplicity 4)
F: 0.2148 0.1005 0.2888 (multiplicity 4)
F: 0.2269 0.1117 0.9460 (multiplicity 4)
F: 0.3264 0.6034 0.1261 (multiplicity 4)
F: 0.3639 0.7500 0.3277 (multiplicity 2)
F: 0.3674 0.5873 0.5089 (multiplicity 4)
F: 0.4018 0.5854 0.8013 (multiplicity 4)

Top 8 peaks for 5° ≤ 2θ ≤ 70°, by angle:
2θ (°)  Rel. int.
15.75  100.0
17.51  51.5
23.64  87.9
27.63  27.0
27.84  25.7
32.90  16.8
33.08  19.2
54.67  16.5

[5]
Structure and calculated powder XRD pattern of Rb2UCl4O4 (a DFT-relaxed cell (PBE, the Materials Project); Cu Kα (weighted mean of Kα1 and Kα2)).
Intensities are scaled so that the largest is 100.

Structure:
Lattice parameters (Å, degrees): 6.8712 6.9883 7.8722 101.09 97.50 118.97
Space group P-1 (No. 2)
One atom of each set of equivalent atoms:
Rb: 0.0682 0.2914 0.2543 (multiplicity 2)
U: 0.5000 0.0000 0.5000 (multiplicity 1)
Cl: 0.2507 0.9173 0.1711 (multiplicity 2)
Cl: 0.3453 0.2503 0.6544 (multiplicity 2)
O: 0.1451 0.4374 0.9114 (multiplicity 2)
O: 0.2557 0.7445 0.5203 (multiplicity 2)

Top 8 peaks for 5° ≤ 2θ ≤ 70°, by angle:
2θ (°)  Rel. int.
11.87  100.0
14.85  49.2
15.17  44.9
16.73  90.3
18.74  66.9
25.55  62.5
25.99  51.5
27.79  44.4

[6]
Structure and calculated powder XRD pattern of PbS2N3 (a DFT-relaxed cell (PBE, the Materials Project); Cu Kα (weighted mean of Kα1 and Kα2)).
Intensities are scaled so that the largest is 100.

Structure:
Lattice parameters (Å, degrees): 6.2753 16.5492 6.0100 90.00 93.96 90.00
Space group P2_1/c (No. 14)
One atom of each set of equivalent atoms:
Pb: 0.2231 0.0654 0.3035 (multiplicity 4)
S: 0.3591 0.5588 0.3043 (multiplicity 4)
S: 0.3792 0.6789 0.9694 (multiplicity 4)
N: 0.1314 0.1625 0.0166 (multiplicity 4)
N: 0.2404 0.6278 0.1381 (multiplicity 4)
N: 0.3827 0.1605 0.5314 (multiplicity 4)

Top 8 peaks for 5° ≤ 2θ ≤ 70°, by angle:
2θ (°)  Rel. int.
10.69  90.0
18.27  100.0
20.51  57.7
21.47  66.2
21.89  44.9
26.17  80.1
30.54  44.8
31.76  43.1

[7]
Structure and calculated powder XRD pattern of Ba6Tl2NCl (a DFT-relaxed cell (PBE, the Materials Project); Cu Kα (weighted mean of Kα1 and Kα2)).
Intensities are scaled so that the largest is 100.

Structure:
Lattice parameters (Å, degrees): 11.7284 11.7284 11.7284 90.00 90.00 90.00
Space group Fm-3m (No. 225)
One atom of each set of equivalent atoms:
Ba: 0.0000 0.0000 0.2324 (multiplicity 24)
Tl: 0.2500 0.2500 0.2500 (multiplicity 8)
N: 0.0000 0.0000 0.0000 (multiplicity 4)
Cl: 0.0000 0.0000 0.5000 (multiplicity 4)

Top 8 peaks for 5° ≤ 2θ ≤ 70°, by angle:
2θ (°)  Rel. int.
21.43  7.8
26.32  100.0
30.49  60.9
43.66  43.2
51.70  43.5
54.18  14.6
63.45  6.6
69.92  16.4

[8]
Structure and calculated powder XRD pattern of BaDy2Te4 (a DFT-relaxed cell (PBE, the Materials Project); Cu Kα (weighted mean of Kα1 and Kα2)).
Intensities are scaled so that the largest is 100.

Structure:
Lattice parameters (Å, degrees): 13.8222 4.4887 16.3153 90.00 90.00 90.00
Space group Pnma (No. 62)
One atom of each set of equivalent atoms:
Ba: 0.2388 0.2500 0.1695 (multiplicity 4)
Dy: 0.0595 0.2500 0.3904 (multiplicity 4)
Dy: 0.0806 0.2500 0.9035 (multiplicity 4)
Te: 0.0272 0.7500 0.7841 (multiplicity 4)
Te: 0.0898 0.2500 0.5764 (multiplicity 4)
Te: 0.1273 0.7500 0.0285 (multiplicity 4)
Te: 0.2050 0.7500 0.3392 (multiplicity 4)

Top 8 peaks for 5° ≤ 2θ ≤ 70°, by angle:
2θ (°)  Rel. int.
25.73  56.7
26.54  100.0
28.06  82.0
28.29  73.1
32.36  87.1
39.64  52.8
40.18  75.3
40.93  54.1